BaLiNbS4: simulated powder diffractogram (Cu Kα, 1.54184 Å), based on a crystal structure in Alexandria, relaxed with GGA-PBE.

Peak list (8 most intense, 2θ from 15° to 90°, by angle)
(1 1 -1), 18.52°, 4.792 Å, intensity 99.7; (1 1 1), 23.53°, 3.780 Å, intensity 100.0; (1 1 -2), 25.08°, 3.550 Å, intensity 55.6; (0 2 0), 25.55°, 3.487 Å, intensity 54.0; (1 1 2), 32.53°, 2.753 Å, intensity 60.8; (2 0 -3), 34.35°, 2.611 Å, intensity 44.8; (2 2 0), 36.15°, 2.485 Å, intensity 38.3; (3 1 -2), 38.82°, 2.320 Å, intensity 36.8

Cell and atoms:
```
data_BaLiNbS4
_symmetry_space_group_name_H-M 'P 1 21/m 1'
_symmetry_Int_Tables_number 11
_cell_length_a 7.613
_cell_length_b 6.974
_cell_length_c 8.427
_cell_angle_alpha 90.00
_cell_angle_beta 111.52
_cell_angle_gamma 90.00
loop_
_symmetry_equiv_pos_as_xyz
'x,y,z'
'-x,-y,-z'
'-x,y+1/2,-z'
'x,-y+1/2,z'
loop_
_atom_site_label
_atom_site_fract_x
_atom_site_fract_y
_atom_site_fract_z
_atom_site_occupancy
Ba1 0.248 0.250 0.475 1
Li1 0.214 0.250 0.016 1
Nb1 0.233 0.750 0.175 1
S1 0.030 0.750 0.322 1
S2 0.066 0.750 0.892 1
S3 0.432 0.009 0.246 1
```